Entry 1:
Starting from a cell relaxed with GGA-PBE, the PXRD pattern of Na3Tl8Pd2 was computed for copper Kα.
Peak positions follow from Bragg's law for the DFT cell and can differ from measured ones.

Peak list (10 most intense, 2θ from 10° to 90°, most intense first)
2.600 Å, intensity 100
3.345 Å, intensity 63
8.266 Å, intensity 56
2.127 Å, intensity 36
4.131 Å, intensity 34
2.374 Å, intensity 27
2.357 Å, intensity 26
1.672 Å, intensity 17
1.403 Å, intensity 15
2.059 Å, intensity 15

Structural model:
```
Na3Tl8Pd2
1.0
4.7480 -8.2664 0.0000
4.7480 8.2664 0.0000
0.0000 0.0000 4.7130
Na Tl Pd
3 8 2
Cartesian
0.0000 0.0000 0.0000
2.8115 0.0000 2.3565
6.6846 0.0000 2.3565
2.4676 2.4494 0.0000
4.7480 6.0287 2.3565
4.7480 2.7147 2.3565
2.4676 -2.4494 0.0000
7.0285 2.4494 0.0000
4.7480 -2.7147 2.3565
4.7480 -6.0287 2.3565
7.0285 -2.4494 0.0000
4.7480 4.3370 0.0000
4.7480 -4.3370 0.0000
```


Entry 2:
Starting from a cell relaxed with GGA-PBE, the PXRD pattern of Na6Tl5Pd was computed for copper Kα.
Peak positions follow from Bragg's law for the DFT cell and can differ from measured ones.

Peak list (10 most intense, 2θ from 10° to 90°, most intense first)
4.830 Å, intensity 100
2.749 Å, intensity 75
2.727 Å, intensity 72
3.343 Å, intensity 35
3.304 Å, intensity 33
2.415 Å, intensity 32
2.266 Å, intensity 25
1.652 Å, intensity 24
2.051 Å, intensity 22
1.949 Å, intensity 21

Structural model:
```
Na6Tl5Pd
1.0
4.5316 0.0000 0.0000
0.0000 9.6591 0.0000
-2.1800 0.0000 7.3337
Na Tl Pd
6 5 1
Cartesian
0.0000 2.3431 0.0000
0.0000 7.3160 0.0000
0.0541 2.5600 4.9010
0.0541 7.0991 4.9010
2.2974 2.5600 2.4327
2.2974 7.0991 2.4327
0.0427 4.8295 1.9521
0.0316 0.0000 2.4729
2.2658 0.0000 0.0000
2.3200 0.0000 4.8608
2.3088 4.8295 5.3816
2.2658 4.8295 0.0000
```


Entry 3:
Starting from a cell relaxed with GGA-PBE, the PXRD pattern of Na2Tl2Pd was computed for copper Kα.
Peak positions follow from Bragg's law for the DFT cell and can differ from measured ones.

Peak list (10 most intense, 2θ from 10° to 90°, most intense first)
2.581 Å, intensity 100
3.399 Å, intensity 96
4.603 Å, intensity 63
2.343 Å, intensity 58
1.929 Å, intensity 40
4.072 Å, intensity 35
3.200 Å, intensity 34
1.980 Å, intensity 32
1.394 Å, intensity 29
2.024 Å, intensity 24

Structural model:
```
Na2Tl2Pd
1.0
-2.3427 2.3427 12.3455
2.3427 -2.3427 12.3455
2.3427 2.3427 -12.3455
Na Tl Pd
4 4 2
Cartesian
2.3427 1.1714 -4.8983
0.0000 1.1714 1.2745
2.3427 1.1714 11.0710
0.0000 1.1714 17.2438
2.3427 1.1714 -1.5121
0.0000 1.1714 4.6607
2.3427 1.1714 7.6848
0.0000 1.1714 13.8576
2.3427 1.1714 3.0864
0.0000 1.1714 9.2592
```